This entry pairs a crystal structure of Sr3DyS4 with its calculated XRD peak list. Radiation: CuKα. Structure: a cell relaxed with PBE.
Intensities are scaled so that the largest is 100.

Cell: 8.379 11.795 4.152 Å, 90.00 90.00 90.00°
Sites, in units of the cell vectors:
1 Sr 0.000 0.000 0.000
2 Sr 0.250 0.250 0.500
3 Sr 0.250 0.750 0.500
4 Sr 0.500 0.500 0.000
5 Sr 0.750 0.250 0.500
6 Sr 0.750 0.750 0.500
7 Dy 0.000 0.500 0.000
8 Dy 0.500 0.000 0.000
9 S 0.000 0.260 0.000
10 S 0.000 0.740 0.000
11 S 0.233 0.500 0.500
12 S 0.267 0.000 0.500
13 S 0.500 0.240 0.000
14 S 0.500 0.760 0.000
15 S 0.733 0.000 0.500
16 S 0.767 0.500 0.500

Top 10 peaks for 2θ = 15–90°, low angle first:
- 2θ 26.09, I 26
- 2θ 26.25, I 25
- 2θ 30.31, I 100
- 2θ 43.19, I 12
- 2θ 43.40, I 48
- 2θ 51.28, I 14
- 2θ 51.49, I 13
- 2θ 53.67, I 12
- 2θ 54.02, I 12
- 2θ 71.54, I 21

=====

This entry pairs a crystal structure of Tb4Dy2S9 with its calculated XRD peak list. Radiation: CuKα. Structure: a cell relaxed with PBE.
Intensities are scaled so that the largest is 100.

Cell: 6.937 6.937 18.557 Å, 90.00 90.00 120.00°
Sites, in units of the cell vectors:
1 Tb 0.333 0.667 0.184
2 Tb 0.333 0.667 0.482
3 Tb 0.333 0.667 0.684
4 Tb 0.333 0.667 0.982
5 Tb 0.667 0.333 0.018
6 Tb 0.667 0.333 0.316
7 Tb 0.667 0.333 0.518
8 Tb 0.667 0.333 0.816
9 Dy 0.000 0.000 0.150
10 Dy 0.000 0.000 0.350
11 Dy 0.000 0.000 0.650
12 Dy 0.000 0.000 0.850
13 S 0.000 0.299 0.250
14 S 0.000 0.701 0.750
15 S 0.034 0.365 0.583
16 S 0.034 0.669 0.083
17 S 0.299 0.000 0.250
18 S 0.299 0.299 0.750
19 S 0.331 0.365 0.083
20 S 0.331 0.966 0.583
21 S 0.365 0.034 0.917
22 S 0.365 0.331 0.417
23 S 0.635 0.669 0.583
24 S 0.635 0.966 0.083
25 S 0.669 0.034 0.417
26 S 0.669 0.635 0.917
27 S 0.701 0.000 0.750
28 S 0.701 0.701 0.250
29 S 0.966 0.331 0.917
30 S 0.966 0.635 0.417

Top 10 peaks for 2θ = 15–90°, low angle first:
- 2θ 17.59, I 41
- 2θ 24.24, I 99
- 2θ 25.69, I 100
- 2θ 35.61, I 47
- 2θ 39.02, I 82
- 2θ 44.42, I 47
- 2θ 45.29, I 49
- 2θ 51.55, I 25
- 2θ 61.28, I 21
- 2θ 64.90, I 20

=====

This entry pairs a crystal structure of TbDy4S4 with its calculated XRD peak list. Radiation: CuKα. Structure: a cell relaxed with PBE.
Intensities are scaled so that the largest is 100.

Cell: 6.723 6.723 6.723 Å, 99.59 99.59 131.83°
Sites, in units of the cell vectors:
1 Tb 0.000 0.000 0.000
2 Dy 0.197 0.396 0.594
3 Dy 0.396 0.803 0.199
4 Dy 0.604 0.197 0.801
5 Dy 0.803 0.604 0.406
6 S 0.099 0.698 0.797
7 S 0.302 0.099 0.401
8 S 0.698 0.901 0.599
9 S 0.901 0.302 0.203

Top 10 peaks for 2θ = 15–90°, low angle first:
- 2θ 19.14, I 1
- 2θ 28.16, I 98
- 2θ 32.63, I 100
- 2θ 46.82, I 72
- 2θ 55.53, I 47
- 2θ 58.23, I 25
- 2θ 68.37, I 12
- 2θ 75.50, I 19
- 2θ 77.83, I 32
- 2θ 86.96, I 25

=====

This entry pairs a crystal structure of Tb3Dy2S6 with its calculated XRD peak list. Radiation: CuKα. Structure: a cell relaxed with PBE.
Intensities are scaled so that the largest is 100.

Cell: 6.776 6.776 6.750 Å, 99.64 99.64 119.82°
Sites, in units of the cell vectors:
1 Tb 0.000 0.000 0.000
2 Tb 0.337 0.663 0.000
3 Tb 0.663 0.337 0.000
4 Dy 0.166 0.834 0.500
5 Dy 0.834 0.166 0.500
6 S 0.082 0.417 0.250
7 S 0.249 0.249 0.744
8 S 0.417 0.082 0.250
9 S 0.583 0.918 0.750
10 S 0.751 0.751 0.256
11 S 0.918 0.583 0.750

Top 10 peaks for 2θ = 15–90°, low angle first:
- 2θ 27.92, I 54
- 2θ 28.05, I 17
- 2θ 32.39, I 100
- 2θ 46.33, I 24
- 2θ 46.48, I 24
- 2θ 46.58, I 24
- 2θ 55.07, I 11
- 2θ 55.20, I 14
- 2θ 57.77, I 12
- 2θ 67.81, I 11

=====

This entry pairs a crystal structure of TbDy4S7 with its calculated XRD peak list. Radiation: CuKα. Structure: a cell relaxed with PBE.
Intensities are scaled so that the largest is 100.

Cell: 6.716 6.716 11.623 Å, 103.98 103.98 32.97°
Sites, in units of the cell vectors:
1 Tb 0.000 0.000 0.000
2 Dy 0.112 0.112 0.421
3 Dy 0.224 0.224 0.842
4 Dy 0.412 0.412 0.609
5 Dy 0.812 0.812 0.234
6 S 0.070 0.070 0.636
7 S 0.154 0.154 0.207
8 S 0.370 0.370 0.069
9 S 0.453 0.453 0.370
10 S 0.612 0.612 0.920
11 S 0.771 0.771 0.472
12 S 0.852 0.852 0.773

Top 10 peaks for 2θ = 15–90°, low angle first:
- 2θ 23.83, I 84
- 2θ 24.43, I 100
- 2θ 26.25, I 33
- 2θ 27.71, I 38
- 2θ 31.48, I 38
- 2θ 33.13, I 47
- 2θ 34.19, I 37
- 2θ 38.99, I 26
- 2θ 42.00, I 28
- 2θ 47.71, I 25

=====

This entry pairs a crystal structure of TbDy3S4 with its calculated XRD peak list. Radiation: CuKα. Structure: a cell relaxed with PBE.
Intensities are scaled so that the largest is 100.

Cell: 5.531 5.531 5.531 Å, 90.00 90.00 90.00°
Sites, in units of the cell vectors:
1 Tb 0.000 0.000 0.000
2 Dy 0.000 0.500 0.500
3 Dy 0.500 0.000 0.500
4 Dy 0.500 0.500 0.000
5 S 0.000 0.000 0.500
6 S 0.000 0.500 0.000
7 S 0.500 0.000 0.000
8 S 0.500 0.500 0.500

Top 9 peaks for 2θ = 15–90°, low angle first:
- 2θ 27.94, I 82
- 2θ 32.37, I 100
- 2θ 46.44, I 72
- 2θ 55.07, I 40
- 2θ 57.75, I 25
- 2θ 67.77, I 12
- 2θ 74.83, I 16
- 2θ 77.13, I 32
- 2θ 86.14, I 25